# 1
Simulated powder diffractogram
Compound: SrLa3Mn3CrO12
Radiation: CuKα
Structure: DFT lattice parameters and positions (PBE+U)
Neutral-atom scattering factors, no anomalous dispersion.

Main lines, sorted by position (15° ≤ 2θ ≤ 90°):
22.58 deg, rel. 25, (1 0 4); 31.95 deg, rel. 98, (1 1 0); 32.35 deg, rel. 100, (0 1 8); 39.48 deg, rel. 25, (0 2 4); 46.11 deg, rel. 62, (2 0 8); 57.20 deg, rel. 40, (3 -2 8)

Structural model:
```
data_SrLa3Mn3CrO12
_chemical_formula_sum 'Sr3 La9 Mn9 Cr3 O36'
_cell_length_a 5.6017
_cell_length_b 5.6017
_cell_length_c 26.9555
_cell_angle_alpha 90.00
_cell_angle_beta 90.00
_cell_angle_gamma 120.00
_space_group_name_H-M_alt 'R 3'
_space_group_IT_number 146
_space_group_name_Hall 'R 3'
loop_
_atom_site_label
_atom_site_type_symbol
_atom_site_fract_x
_atom_site_fract_y
_atom_site_fract_z
Sr1 Sr 0.0000 0.0000 0.0000
La1 La 0.0000 0.0000 0.2518
La2 La 0.0000 0.0000 0.5009
La3 La 0.0000 0.0000 0.7486
Mn1 Mn 0.0000 0.0000 0.1255
Mn2 Mn 0.0000 0.0000 0.3750
Mn3 Mn 0.0000 0.0000 0.6254
Cr1 Cr 0.0000 0.0000 0.8754
O1 O 0.0043 0.5644 0.7526
O2 O 0.0087 0.5732 0.2484
O3 O 0.1005 0.3357 0.8333
O4 O 0.1232 0.3424 0.3328
```


# 2
Simulated powder diffractogram
Compound: LiMn2NiO6
Radiation: CuKα
Structure: DFT lattice parameters and positions (PBE+U)
Neutral-atom scattering factors, no anomalous dispersion.

Main lines, sorted by position (15° ≤ 2θ ≤ 90°):
17.06 deg, rel. 100, (0 0 2); 36.15 deg, rel. 12, (3 1 -1); 37.26 deg, rel. 13, (3 1 1); 40.08 deg, rel. 12, (0 2 2); 43.03 deg, rel. 14, (3 1 -3); 45.86 deg, rel. 11, (3 1 3)

Structural model:
```
data_LiMn2NiO6
_chemical_formula_sum 'Li4 Mn8 Ni4 O24'
_cell_length_a 8.7785
_cell_length_b 4.9909
_cell_length_c 10.4236
_cell_angle_alpha 90.00
_cell_angle_beta 94.22
_cell_angle_gamma 90.00
_space_group_name_H-M_alt 'C 1 2/c 1'
_space_group_IT_number 15
loop_
_space_group_symop_operation_xyz
'x,y,z'
'-x,-y,-z'
'-x,y,-z+1/2'
'x,-y,z+1/2'
'x+1/2,y+1/2,z'
'-x+1/2,-y+1/2,-z'
'-x+1/2,y+1/2,-z+1/2'
'x+1/2,-y+1/2,z+1/2'
loop_
_atom_site_label
_atom_site_type_symbol
_atom_site_fract_x
_atom_site_fract_y
_atom_site_fract_z
Li1 Li 0.0000 0.1566 0.2500
Mn1 Mn 0.0829 0.2476 0.9948
Ni1 Ni 0.2500 0.2500 0.5000
O1 O 0.0725 0.4073 0.4052
O2 O 0.0786 0.0627 0.6024
O3 O 0.2440 0.0806 0.9076
```


# 3
Simulated powder diffractogram
Compound: MgV2O3F3
Radiation: CuKα
Structure: DFT lattice parameters and positions (PBE+U)
Neutral-atom scattering factors, no anomalous dispersion.

Main lines, sorted by position (15° ≤ 2θ ≤ 90°):
22.80 deg, rel. 100, (0 1 -1); 24.93 deg, rel. 47, (-1 1 1); 31.12 deg, rel. 18, (1 -1 1); 32.68 deg, rel. 22, (0 1 1); 34.06 deg, rel. 30, (1 0 -2); 38.56 deg, rel. 23, (2 -1 0)

Structural model:
```
data_MgV2O3F3
_chemical_formula_sum 'Mg1 V2 O3 F3'
_cell_length_a 5.1164
_cell_length_b 5.2819
_cell_length_c 5.3182
_cell_angle_alpha 94.96
_cell_angle_beta 113.06
_cell_angle_gamma 118.50
_space_group_name_H-M_alt 'P 1'
_space_group_IT_number 1
loop_
_space_group_symop_operation_xyz
'x,y,z'
loop_
_atom_site_label
_atom_site_type_symbol
_atom_site_fract_x
_atom_site_fract_y
_atom_site_fract_z
Mg1 Mg 0.0000 0.0000 0.0000
V1 V 0.5545 0.7622 0.3739
V2 V 0.6492 0.3200 0.9244
O1 O 0.1116 0.4161 0.1747
O2 O 0.5711 0.9654 0.6758
O3 O 0.7389 0.6986 0.1592
F1 F 0.1547 0.1568 0.7068
F2 F 0.4480 0.0340 0.1562
F3 F 0.7534 0.5794 0.6659
```


# 4
Simulated powder diffractogram
Compound: NiH12Br2O14
Radiation: CuKα
Structure: DFT lattice parameters and positions (PBE+U)
Neutral-atom scattering factors, no anomalous dispersion.

Main lines, sorted by position (15° ≤ 2θ ≤ 90°):
20.47 deg, rel. 100, (1 0 2); 22.52 deg, rel. 72, (1 1 0); 30.62 deg, rel. 52, (0 2 2); 38.34 deg, rel. 17, (2 1 2); 47.85 deg, rel. 24, (1 2 4); 50.82 deg, rel. 18, (1 3 2)

Structural model:
```
data_NiH12Br2O14
_chemical_formula_sum 'Ni2 H24 Br4 O28'
_cell_length_a 7.8962
_cell_length_b 7.8962
_cell_length_c 11.2231
_cell_angle_alpha 90.00
_cell_angle_beta 90.00
_cell_angle_gamma 120.00
_space_group_name_H-M_alt 'P -3'
_space_group_IT_number 147
loop_
_space_group_symop_operation_xyz
'x,y,z'
'-x,-y,-z'
'-y,x-y,z'
'y,-x+y,-z'
'-x+y,-x,z'
'x-y,x,-z'
loop_
_atom_site_label
_atom_site_type_symbol
_atom_site_fract_x
_atom_site_fract_y
_atom_site_fract_z
Ni1 Ni 0.0000 0.0000 0.2503
H1 H 0.0667 0.2922 0.3902
H2 H 0.0668 0.2923 0.8901
H3 H 0.0795 0.7263 0.3373
H4 H 0.0798 0.7264 0.8370
Br1 Br 0.3333 0.6667 0.0895
Br2 Br 0.3333 0.6667 0.5894
O1 O 0.0904 0.8500 0.3627
O2 O 0.0906 0.8501 0.8625
O3 O 0.1117 0.6006 0.1406
O4 O 0.1117 0.6005 0.6405
O5 O 0.3333 0.6667 0.4428
O6 O 0.3333 0.6667 0.9429
```


# 5
Simulated powder diffractogram
Compound: Li2MnC2O6
Radiation: CuKα
Structure: DFT lattice parameters and positions (PBE+U)
Neutral-atom scattering factors, no anomalous dispersion.

Main lines, sorted by position (15° ≤ 2θ ≤ 90°):
17.27 deg, rel. 100, (0 1 1); 18.52 deg, rel. 40, (1 0 -1); 21.20 deg, rel. 28, (1 1 0); 21.79 deg, rel. 23, (1 1 -1); 28.51 deg, rel. 31, (0 1 2); 36.09 deg, rel. 17, (2 0 0)

Structural model:
```
data_Li2MnC2O6
_chemical_formula_sum 'Li4 Mn2 C4 O12'
_cell_length_a 5.2341
_cell_length_b 7.7705
_cell_length_c 7.1946
_cell_angle_alpha 90.00
_cell_angle_beta 108.00
_cell_angle_gamma 90.00
_space_group_name_H-M_alt 'P 1 21 1'
_space_group_IT_number 4
loop_
_space_group_symop_operation_xyz
'x,y,z'
'-x,y+1/2,-z'
loop_
_atom_site_label
_atom_site_type_symbol
_atom_site_fract_x
_atom_site_fract_y
_atom_site_fract_z
Li1 Li 0.1366 0.0000 0.0376
Li2 Li 0.3629 0.1950 0.4620
Mn1 Mn 0.2506 0.5972 0.7501
C1 C 0.0808 0.8410 0.4108
C2 C 0.4192 0.3540 0.0891
O1 O 0.1654 0.9795 0.3434
O2 O 0.1703 0.3355 0.5982
O3 O 0.2448 0.7163 0.4808
O4 O 0.2555 0.4789 0.0195
O5 O 0.3298 0.8592 0.9020
O6 O 0.3343 0.2155 0.1563
```


# 6
Simulated powder diffractogram
Compound: MgV6H6O18
Radiation: CuKα
Structure: DFT lattice parameters and positions (PBE+U)
Neutral-atom scattering factors, no anomalous dispersion.

Main lines, sorted by position (15° ≤ 2θ ≤ 90°):
15.14 deg, rel. 68, (0 1 1); 23.81 deg, rel. 52, (1 1 0); 24.70 deg, rel. 36, (0 2 -1); 26.63 deg, rel. 90, (-1 1 2); 26.78 deg, rel. 100, (1 -1 2); 41.08 deg, rel. 30, (2 1 0)

Structural model:
```
data_MgV6H6O18
_chemical_formula_sum 'Mg1 V6 H6 O18'
_cell_length_a 5.1913
_cell_length_b 8.0805
_cell_length_c 9.1901
_cell_angle_alpha 91.15
_cell_angle_beta 90.89
_cell_angle_gamma 106.36
_space_group_name_H-M_alt 'P 1'
_space_group_IT_number 1
loop_
_space_group_symop_operation_xyz
'x,y,z'
loop_
_atom_site_label
_atom_site_type_symbol
_atom_site_fract_x
_atom_site_fract_y
_atom_site_fract_z
Mg1 Mg 0.0000 0.0000 0.0000
V1 V 0.0089 0.2812 0.6716
V2 V 0.2703 0.4162 0.1705
V3 V 0.4539 0.1826 0.4793
V4 V 0.4547 0.2146 0.8459
V5 V 0.8141 0.5291 0.3775
V6 V 0.8188 0.5509 0.9708
H1 H 0.5433 0.9458 0.0778
H2 H 0.5546 0.9384 0.6687
H3 H 0.6441 0.7829 0.7653
H4 H 0.6473 0.7689 0.5863
H5 H 0.6538 0.9720 0.2409
H6 H 0.6782 0.7285 0.1789
O1 O 0.0526 0.1344 0.8109
O2 O 0.0599 0.2205 0.1325
O3 O 0.1092 0.1516 0.5194
O4 O 0.1303 0.5672 0.0417
O5 O 0.1339 0.5426 0.3202
O6 O 0.3107 0.4187 0.6993
O7 O 0.4076 0.0400 0.9592
O8 O 0.4790 0.0178 0.3795
O9 O 0.4889 0.3528 0.3314
O10 O 0.4889 0.3889 0.9990
O11 O 0.5512 0.8058 0.6735
O12 O 0.5577 0.1158 0.6647
O13 O 0.6814 0.9185 0.1451
O14 O 0.6889 0.6053 0.1812
O15 O 0.8024 0.3635 0.5253
O16 O 0.8050 0.7046 0.4706
O17 O 0.8084 0.3895 0.8174
O18 O 0.8239 0.7512 0.9082
```


# 7
Simulated powder diffractogram
Compound: MnV4Cu3O12
Radiation: CuKα
Structure: DFT lattice parameters and positions (PBE+U)
Neutral-atom scattering factors, no anomalous dispersion.

Main lines, sorted by position (15° ≤ 2θ ≤ 90°):
34.42 deg, rel. 100, (2 2 0); 42.49 deg, rel. 6, (2 2 2); 49.46 deg, rel. 29, (4 0 0); 61.65 deg, rel. 48, (4 2 2); 72.55 deg, rel. 13, (4 4 0); 82.83 deg, rel. 15, (6 0 2)

Structural model:
```
data_MnV4Cu3O12
_chemical_formula_sum 'Mn2 V8 Cu6 O24'
_cell_length_a 7.3706
_cell_length_b 7.3706
_cell_length_c 7.3706
_cell_angle_alpha 90.00
_cell_angle_beta 90.00
_cell_angle_gamma 90.00
_space_group_name_H-M_alt 'I m -3'
_space_group_IT_number 204
_space_group_name_Hall '-I 2 2 3'
loop_
_atom_site_label
_atom_site_type_symbol
_atom_site_fract_x
_atom_site_fract_y
_atom_site_fract_z
Mn1 Mn 0.0000 0.0000 0.0000
V1 V 0.2500 0.2500 0.2500
Cu1 Cu 0.0000 0.0000 0.5000
O1 O 0.0000 0.1805 0.2996
```


What did the second record say?
Simulated powder diffractogram
Compound: LiMn2NiO6
Radiation: CuKα
Structure: DFT lattice parameters and positions (PBE+U)
Neutral-atom scattering factors, no anomalous dispersion.

Main lines, sorted by position (15° ≤ 2θ ≤ 90°):
17.06 deg, rel. 100, (0 0 2); 36.15 deg, rel. 12, (3 1 -1); 37.26 deg, rel. 13, (3 1 1); 40.08 deg, rel. 12, (0 2 2); 43.03 deg, rel. 14, (3 1 -3); 45.86 deg, rel. 11, (3 1 3)

Structural model:
```
data_LiMn2NiO6
_chemical_formula_sum 'Li4 Mn8 Ni4 O24'
_cell_length_a 8.7785
_cell_length_b 4.9909
_cell_length_c 10.4236
_cell_angle_alpha 90.00
_cell_angle_beta 94.22
_cell_angle_gamma 90.00
_space_group_name_H-M_alt 'C 1 2/c 1'
_space_group_IT_number 15
loop_
_space_group_symop_operation_xyz
'x,y,z'
'-x,-y,-z'
'-x,y,-z+1/2'
'x,-y,z+1/2'
'x+1/2,y+1/2,z'
'-x+1/2,-y+1/2,-z'
'-x+1/2,y+1/2,-z+1/2'
'x+1/2,-y+1/2,z+1/2'
loop_
_atom_site_label
_atom_site_type_symbol
_atom_site_fract_x
_atom_site_fract_y
_atom_site_fract_z
Li1 Li 0.0000 0.1566 0.2500
Mn1 Mn 0.0829 0.2476 0.9948
Ni1 Ni 0.2500 0.2500 0.5000
O1 O 0.0725 0.4073 0.4052
O2 O 0.0786 0.0627 0.6024
O3 O 0.2440 0.0806 0.9076
```


Which formula does entry 5 have?
Li2MnC2O6